No. 1
# Al2CoCu4Ni
Simulated powder XRD pattern, Cu Kα, 1.54184 Å. Input: a structure optimized by DFT (GGA-PBE).

a b c (Å): 7.164 7.164 7.164
angles (deg): 133.61 133.61 67.70
Element x y z (fractional)
1 Al 0.125 0.375 0.750
2 Al 0.375 0.125 0.250
3 Al 0.625 0.875 0.750
4 Al 0.875 0.625 0.250
5 Co 0.375 0.625 0.750
6 Co 0.625 0.375 0.250
7 Cu 0.000 0.251 0.251
8 Cu 0.000 0.749 0.749
9 Cu 0.251 0.000 0.751
10 Cu 0.251 0.500 0.251
11 Cu 0.500 0.251 0.751
12 Cu 0.500 0.749 0.249
13 Cu 0.749 0.000 0.249
14 Cu 0.749 0.500 0.749
15 Ni 0.125 0.875 0.250
16 Ni 0.875 0.125 0.750

Main lines, sorted by position (10 to 90 degrees two-theta):
| two_theta | I/Imax |
| --- | --- |
| 26.91 | 10 |
| 30.04 | 3 |
| 31.71 | 6 |
| 44.25 | 100 |
| 45.46 | 46 |
| 53.62 | 3 |
| 62.44 | 8 |
| 66.25 | 14 |
| 80.56 | 15 |
| 83.16 | 28 |

---

No. 2
# AlCoCuS4
Simulated powder XRD pattern, Cu Kα, 1.54184 Å. Input: a structure optimized by DFT (GGA-PBE).

a b c (Å): 6.895 6.895 9.733
angles (deg): 90.00 90.00 90.00
Element x y z (fractional)
1 Al 0.000 0.254 0.000
2 Al 0.000 0.746 0.500
3 Al 0.254 0.000 0.750
4 Al 0.746 0.000 0.250
5 Co 0.252 0.252 0.375
6 Co 0.252 0.748 0.125
7 Co 0.748 0.252 0.625
8 Co 0.748 0.748 0.875
9 Cu 0.251 0.500 0.750
10 Cu 0.500 0.251 0.000
11 Cu 0.500 0.749 0.500
12 Cu 0.749 0.500 0.250
13 S 0.010 0.250 0.753
14 S 0.010 0.750 0.747
15 S 0.250 0.010 0.997
16 S 0.250 0.990 0.503
17 S 0.251 0.495 0.995
18 S 0.251 0.505 0.505
19 S 0.495 0.251 0.755
20 S 0.495 0.749 0.745
21 S 0.505 0.251 0.245
22 S 0.505 0.749 0.255
23 S 0.749 0.495 0.005
24 S 0.749 0.505 0.495
25 S 0.750 0.010 0.003
26 S 0.750 0.990 0.497
27 S 0.990 0.250 0.247
28 S 0.990 0.750 0.253

Main lines, sorted by position (10 to 90 degrees two-theta):
| two_theta | I/Imax |
| --- | --- |
| 25.86 | 37 |
| 30.42 | 100 |
| 36.90 | 48 |
| 45.61 | 15 |
| 48.54 | 40 |
| 53.17 | 95 |
| 62.50 | 11 |
| 66.47 | 10 |
| 74.82 | 15 |
| 78.47 | 9 |

---

No. 3
# ScAl2CoCu4
Simulated powder XRD pattern, Cu Kα, 1.54184 Å. Input: a structure optimized by DFT (GGA-PBE).

a b c (Å): 7.381 7.381 7.381
angles (deg): 132.63 132.63 69.24
Element x y z (fractional)
1 Sc 0.375 0.625 0.750
2 Sc 0.625 0.375 0.250
3 Al 0.133 0.383 0.750
4 Al 0.383 0.133 0.250
5 Al 0.617 0.867 0.750
6 Al 0.867 0.617 0.250
7 Co 0.125 0.875 0.250
8 Co 0.875 0.125 0.750
9 Cu 0.000 0.226 0.226
10 Cu 0.000 0.774 0.774
11 Cu 0.226 0.000 0.726
12 Cu 0.226 0.500 0.226
13 Cu 0.500 0.226 0.726
14 Cu 0.500 0.774 0.274
15 Cu 0.774 0.000 0.274
16 Cu 0.774 0.500 0.774

Main lines, sorted by position (10 to 90 degrees two-theta):
| two_theta | I/Imax |
| --- | --- |
| 16.63 | 5 |
| 25.82 | 6 |
| 29.41 | 5 |
| 30.14 | 9 |
| 42.61 | 100 |
| 43.14 | 47 |
| 61.01 | 8 |
| 62.66 | 14 |
| 77.63 | 14 |
| 78.74 | 26 |

---

No. 4
# Y2Al4CoCu
Simulated powder XRD pattern, Cu Kα, 1.54184 Å. Input: a structure optimized by DFT (GGA-PBE).

a b c (Å): 6.939 5.513 5.513
angles (deg): 43.17 90.00 90.00
Element x y z (fractional)
1 Y 0.000 0.000 0.000
2 Y 0.500 0.122 0.122
3 Al 0.190 0.717 0.717
4 Al 0.301 0.403 0.403
5 Al 0.699 0.403 0.403
6 Al 0.810 0.717 0.717
7 Co 0.000 0.274 0.274
8 Cu 0.500 0.841 0.841

Main lines, sorted by position (10 to 90 degrees two-theta):
| two_theta | I/Imax |
| --- | --- |
| 23.59 | 38 |
| 25.68 | 44 |
| 35.15 | 85 |
| 36.75 | 100 |
| 37.40 | 57 |
| 44.69 | 32 |
| 46.03 | 13 |
| 52.83 | 40 |
| 59.65 | 28 |
| 68.06 | 14 |

---

No. 5
# Dy2AlCoIr
Simulated powder XRD pattern, Cu Kα, 1.54184 Å. Input: a structure optimized by DFT (GGA-PBE).

a b c (Å): 5.465 5.465 5.465
angles (deg): 136.26 78.75 118.20
Element x y z (fractional)
1 Dy 0.203 0.000 0.203
2 Dy 0.797 0.000 0.797
3 Al 0.510 0.510 0.000
4 Co 0.764 0.264 0.500
5 Ir 0.225 0.725 0.500

Main lines, sorted by position (10 to 90 degrees two-theta):
| two_theta | I/Imax |
| --- | --- |
| 18.98 | 43 |
| 27.06 | 62 |
| 34.52 | 100 |
| 35.67 | 27 |
| 38.51 | 70 |
| 38.88 | 65 |
| 40.47 | 69 |
| 44.51 | 36 |
| 60.29 | 38 |
| 68.83 | 37 |

---

No. 6
# DyScAlCo2
Simulated powder XRD pattern, Cu Kα, 1.54184 Å. Input: a structure optimized by DFT (GGA-PBE).

a b c (Å): 5.191 5.191 5.191
angles (deg): 134.98 118.17 79.69
Element x y z (fractional)
1 Dy 0.000 0.000 0.000
2 Sc 0.410 0.410 0.000
3 Al 0.702 0.202 0.500
4 Co 0.430 0.705 0.724
5 Co 0.981 0.705 0.276

Main lines, sorted by position (10 to 90 degrees two-theta):
| two_theta | I/Imax |
| --- | --- |
| 20.03 | 60 |
| 25.03 | 34 |
| 27.99 | 47 |
| 36.08 | 100 |
| 40.71 | 50 |
| 40.85 | 46 |
| 42.36 | 65 |
| 45.65 | 31 |
| 62.82 | 40 |
| 73.14 | 27 |

---

No. 7
# ErAl4GaCo
Simulated powder XRD pattern, Cu Kα, 1.54184 Å. Input: a structure optimized by DFT (GGA-PBE).

a b c (Å): 4.173 4.173 6.841
angles (deg): 90.00 90.00 90.00
Element x y z (fractional)
1 Er 0.000 0.000 0.000
2 Al 0.000 0.500 0.311
3 Al 0.000 0.500 0.689
4 Al 0.500 0.000 0.311
5 Al 0.500 0.000 0.689
6 Ga 0.500 0.500 0.000
7 Co 0.000 0.000 0.500

Main lines, sorted by position (10 to 90 degrees two-theta):
| two_theta | I/Imax |
| --- | --- |
| 12.94 | 48 |
| 21.29 | 44 |
| 26.05 | 27 |
| 30.29 | 28 |
| 33.06 | 57 |
| 33.88 | 27 |
| 40.37 | 100 |
| 43.36 | 47 |
| 51.29 | 17 |
| 77.53 | 28 |

---

No. 8
# ErAlIn4Co
Simulated powder XRD pattern, Cu Kα, 1.54184 Å. Input: a structure optimized by DFT (GGA-PBE).

a b c (Å): 4.501 4.501 7.366
angles (deg): 90.00 90.00 90.00
Element x y z (fractional)
1 Er 0.000 0.000 0.000
2 Al 0.500 0.500 0.000
3 In 0.000 0.500 0.300
4 In 0.000 0.500 0.700
5 In 0.500 0.000 0.300
6 In 0.500 0.000 0.700
7 Co 0.000 0.000 0.500

Main lines, sorted by position (10 to 90 degrees two-theta):
| two_theta | I/Imax |
| --- | --- |
| 19.72 | 25 |
| 30.60 | 32 |
| 31.38 | 16 |
| 36.60 | 17 |
| 37.34 | 100 |
| 40.06 | 54 |
| 55.38 | 21 |
| 57.94 | 19 |
| 70.47 | 23 |
| 70.99 | 29 |